Record 1
# Mg2B2O5
Theoretical powder diffraction line list, Cu Kα, 1.54184 Å. Input: a DFT-relaxed cell (PBE, the Materials Project).
Peak positions follow from Bragg's law for the DFT cell and can differ from measured ones.

Crystal structure
```
data_Mg2B2O5
_symmetry_space_group_name_H-M 'P 1 21/c 1'
_symmetry_Int_Tables_number 14
_cell_length_a 9.3189
_cell_length_b 3.1568
_cell_length_c 12.4823
_cell_angle_alpha 90.00
_cell_angle_beta 105.08
_cell_angle_gamma 90.00
loop_
_symmetry_equiv_pos_as_xyz
'x,y,z'
'-x,-y,-z'
'-x,y+1/2,-z+1/2'
'x,-y+1/2,z+1/2'
loop_
_atom_site_label
_atom_site_type_symbol
_atom_site_fract_x
_atom_site_fract_y
_atom_site_fract_z
Mg1 Mg 0.1024 0.2483 0.4369
Mg2 Mg 0.3540 0.7162 0.8558
B1 B 0.1686 0.1701 0.1902
B2 B 0.3567 0.6805 0.5910
O1 O 0.0545 0.2496 0.0981
O2 O 0.1793 0.2263 0.7980
O3 O 0.2589 0.7499 0.4890
O4 O 0.2977 0.5585 0.6811
O5 O 0.4942 0.2164 0.8874
```

Peak list (10 most intense, 5 to 70 degrees two-theta, sorted by position)
| d/Å | 2θ/deg | Rel. int. | index |
| --- | --- | --- | --- |
| 4.497 | 19.74 | 24 | 1 0 2 |
| 3.013 | 29.65 | 15 | 0 0 4 |
| 2.873 | 31.13 | 28 | 2 0 -4 |
| 2.584 | 34.71 | 100 | 2 1 0 |
| 2.174 | 41.53 | 13 | 3 1 0 |
| 2.043 | 44.35 | 35 | 2 0 -6 |
| 1.932 | 47.03 | 37 | 3 1 2 |
| 1.603 | 57.49 | 13 | 1 1 6 |
| 1.537 | 60.21 | 16 | 5 1 -4 |
| 1.524 | 60.79 | 17 | 4 1 -6 |

Record 2
# Y2TlZn
Theoretical powder diffraction line list, Cu Kα, 1.54184 Å. Input: a DFT-relaxed cell (PBE, the Materials Project).
Peak positions follow from Bragg's law for the DFT cell and can differ from measured ones.

Crystal structure
```
data_Y2TlZn
_symmetry_space_group_name_H-M 'F m -3 m'
_symmetry_Int_Tables_number 225
_symmetry_space_group_name_Hall '-F 4 2 3'
_cell_length_a 7.3965
_cell_length_b 7.3965
_cell_length_c 7.3965
_cell_angle_alpha 90.00
_cell_angle_beta 90.00
_cell_angle_gamma 90.00
loop_
_atom_site_label
_atom_site_type_symbol
_atom_site_fract_x
_atom_site_fract_y
_atom_site_fract_z
Y1 Y 0.2500 0.2500 0.2500
Tl1 Tl 0.0000 0.0000 0.0000
Zn1 Zn 0.0000 0.0000 0.5000
```

Peak list (10 most intense, 5 to 70 degrees two-theta, sorted by position)
| d/Å | 2θ/deg | Rel. int. | index |
| --- | --- | --- | --- |
| 4.270 | 20.80 | 18 | 1 1 1 |
| 3.698 | 24.06 | 4 | 2 0 0 |
| 2.615 | 34.29 | 100 | 2 2 0 |
| 2.230 | 40.45 | 10 | 3 1 1 |
| 2.135 | 42.33 | 2 | 2 2 2 |
| 1.849 | 49.28 | 18 | 4 0 0 |
| 1.697 | 54.04 | 5 | 3 3 1 |
| 1.654 | 55.57 | 2 | 4 2 0 |
| 1.510 | 61.41 | 36 | 4 2 2 |
| 1.423 | 65.58 | 4 | 5 1 1 |